Entry 1:
Lu4CdPN2: calculated X-ray powder pattern (CuKα), based on the GGA-PBE geometry in OQMD.

The 10 most intense peaks (5 to 70 degrees two-theta), by intensity:
| Position (°2θ) | I_rel |
| --- | --- |
| 35.45 | 1000 |
| 32.29 | 350 |
| 29.50 | 307 |
| 52.33 | 293 |
| 61.73 | 205 |
| 62.85 | 173 |
| 64.80 | 172 |
| 30.21 | 153 |
| 44.32 | 123 |
| 39.54 | 94 |

a = 3.4967 Å, b = 3.4967 Å, c = 13.8477 Å
α = 90.00°, β = 90.00°, γ = 120.00°
Space group P-6m2 (No. 187)
Asymmetric unit:
Lu: 0.0000 0.0000 0.1298 (multiplicity 2)
Lu: 0.6667 0.3333 0.3192 (multiplicity 2)
Cd: 0.0000 0.0000 0.5000 (multiplicity 1)
P: 0.6667 0.3333 0.0000 (multiplicity 1)
N: 0.3333 0.6667 0.2269 (multiplicity 2)



Entry 2:
TmScH2Br2: calculated X-ray powder pattern (CuKα), based on the GGA-PBE geometry in OQMD.

The 10 most intense peaks (5 to 70 degrees two-theta), by intensity:
| Position (°2θ) | I_rel |
| --- | --- |
| 30.68 | 1000 |
| 9.09 | 863 |
| 30.79 | 507 |
| 49.75 | 455 |
| 37.62 | 423 |
| 18.23 | 391 |
| 28.79 | 227 |
| 37.44 | 204 |
| 35.49 | 164 |
| 44.57 | 151 |

a = 6.3479 Å, b = 3.6649 Å, c = 9.9450 Å
α = 90.00°, β = 101.93°, γ = 90.00°
Space group Cm (No. 8)
Asymmetric unit:
Tm: 0.0000 0.0000 0.0000 (multiplicity 2)
Sc: 0.2483 0.0000 0.7371 (multiplicity 2)
H: 0.3160 0.0000 0.9464 (multiplicity 2)
H: 0.4296 0.5000 0.7821 (multiplicity 2)
Br: 0.0235 0.5000 0.5573 (multiplicity 2)
Br: 0.2290 0.5000 0.1926 (multiplicity 2)